Dy4AlGa12: computed XRD peak list (Cu Ka), based on a DFT-relaxed cell (GGA-PBE, Alexandria).
Kinematic intensities with the Lorentz-polarization factor, no thermal factor.

Principal peaks in the range 15 to 90 degrees two-theta, most intense first:
d = 2.517 Å, rel. 100; d = 2.180 Å, rel. 52; d = 1.542 Å, rel. 29; d = 1.315 Å, rel. 29; d = 3.083 Å, rel. 26; d = 4.360 Å, rel. 13

Crystal structure
Cell lengths 8.7207, 8.7207, 8.7207 Å; angles 90.00, 90.00, 90.00 degrees
Space group Im-3m (No. 229)
Inequivalent atoms, fractional coordinates:
Dy  0.2500  0.2500  0.2500 x8
Al  0.0000  0.0000  0.0000 x2
Ga  0.0000  0.0000  0.3048 x12
Ga  0.0000  0.2500  0.5000 x12